No. 1
# Sm10Y6Tm
Theoretical powder X-ray diffraction pattern, λ = 1.5418 Å (Cu Kα). Input: a DFT-relaxed cell (GGA-PBE, Alexandria).
Lines closer than 0.1° are merged.

Top 8 peaks for 2θ = 15–90°, by angle:
2θ (°)	Rel. int.
30.78	44
31.66	76
31.79	100
45.48	27
48.65	15
56.46	23
56.71	16
62.47	12

Cell and atoms:
```
Sm10Y6Tm
1.0
9.7887 0.0000 0.0000
-4.8944 8.4773 0.0000
0.0000 0.0000 6.8819
Sm Y Tm
10 6 1
direct
0.0000 0.2731 0.1850
0.0000 0.7269 0.8150
0.2731 0.0000 0.1850
0.2731 0.2731 0.8150
0.3333 0.6667 0.0000
0.3333 0.6667 0.5000
0.6667 0.3333 0.0000
0.6667 0.3333 0.5000
0.7269 0.0000 0.8150
0.7269 0.7269 0.1850
0.0000 0.3721 0.6935
0.0000 0.6279 0.3065
0.3721 0.0000 0.6935
0.3721 0.3721 0.3065
0.6279 0.0000 0.3065
0.6279 0.6279 0.6935
0.0000 0.0000 0.5000
```

=====

No. 2
# NaTl6Pb2
Theoretical powder X-ray diffraction pattern, λ = 1.5418 Å (Cu Kα). Input: a DFT-relaxed cell (GGA-PBE, Alexandria).
Lines closer than 0.1° are merged.

Top 8 peaks for 2θ = 15–90°, by angle:
2θ (°)	Rel. int.
31.38	100
35.06	19
37.05	31
51.92	24
60.60	16
63.26	25
65.49	11
85.00	11

Cell and atoms:
```
NaTl6Pb2
1.0
10.2951 0.0000 0.0000
0.0000 10.2951 0.0000
0.0000 0.0000 5.1191
Na Tl Pb
2 12 4
direct
0.0000 0.0000 0.0000
0.5000 0.5000 0.5000
0.0085 0.3313 0.0000
0.1568 0.8432 0.5000
0.1687 0.5085 0.5000
0.3313 0.0085 0.0000
0.3432 0.3432 0.0000
0.4915 0.8313 0.5000
0.5085 0.1687 0.5000
0.6568 0.6568 0.0000
0.6687 0.9915 0.0000
0.8313 0.4915 0.5000
0.8432 0.1568 0.5000
0.9915 0.6687 0.0000
0.1779 0.1779 0.5000
0.3221 0.6779 0.0000
0.6779 0.3221 0.0000
0.8221 0.8221 0.5000
```

=====

No. 3
# NaTaNb2N
Theoretical powder X-ray diffraction pattern, λ = 1.5418 Å (Cu Kα). Input: a DFT-relaxed cell (GGA-PBE, Alexandria).
Lines closer than 0.1° are merged.

Top 8 peaks for 2θ = 15–90°, by angle:
2θ (°)	Rel. int.
18.42	37
30.17	43
35.58	100
37.34	56
48.74	23
53.84	19
62.73	24
66.22	32

Cell and atoms:
```
NaTaNb2N
1.0
4.8160 0.0000 0.0000
0.0000 4.8160 0.0000
0.0000 0.0000 3.7567
Na Ta Nb N
1 1 2 1
direct
0.0000 0.0000 0.0000
0.5000 0.5000 0.5000
0.0000 0.5000 0.0000
0.5000 0.0000 0.0000
0.0000 0.0000 0.5000
```

=====

No. 4
# TlRh2Pb
Theoretical powder X-ray diffraction pattern, λ = 1.5418 Å (Cu Kα). Input: a DFT-relaxed cell (GGA-PBE, Alexandria).
Lines closer than 0.1° are merged.

Top 8 peaks for 2θ = 15–90°, by angle:
2θ (°)	Rel. int.
37.35	100
37.46	99
39.54	85
50.57	21
66.02	38
70.22	32
70.43	32
86.29	21

Cell and atoms:
```
TlRh2Pb
1.0
6.4303 0.0000 0.0000
0.0000 7.2202 0.0000
0.0000 0.0000 3.2314
Tl Rh Pb
2 4 2
direct
0.0000 0.0000 0.0000
0.5000 0.5000 0.0000
0.2500 0.2500 0.5000
0.2500 0.7500 0.5000
0.7500 0.2500 0.5000
0.7500 0.7500 0.5000
0.0000 0.5000 0.0000
0.5000 0.0000 0.0000
```

=====

No. 5
# Pm11Tl9Ga4
Theoretical powder X-ray diffraction pattern, λ = 1.5418 Å (Cu Kα). Input: a DFT-relaxed cell (GGA-PBE, Alexandria).
Lines closer than 0.1° are merged.

Top 8 peaks for 2θ = 15–90°, by angle:
2θ (°)	Rel. int.
29.48	21
30.98	30
31.54	22
33.13	98
33.25	100
33.48	98
47.22	30
59.13	51

Cell and atoms:
```
Pm11Tl9Ga4
1.0
7.5462 -11.3947 0.0000
7.5462 11.3947 0.0000
0.0000 0.0000 3.8499
Pm Tl Ga
11 9 4
direct
0.0000 0.0000 0.0000
0.0657 0.4116 0.0000
0.1660 0.8340 0.0000
0.2981 0.2981 0.0000
0.3693 0.6307 0.0000
0.4116 0.0657 0.0000
0.5884 0.9343 0.0000
0.6307 0.3693 0.0000
0.7019 0.7019 0.0000
0.8340 0.1660 0.0000
0.9343 0.5884 0.0000
0.0617 0.2128 0.5000
0.1545 0.6288 0.5000
0.2128 0.0617 0.5000
0.3712 0.8455 0.5000
0.5000 0.5000 0.5000
0.6288 0.1545 0.5000
0.7872 0.9383 0.5000
0.8455 0.3712 0.5000
0.9383 0.7872 0.5000
0.2493 0.4478 0.5000
0.4478 0.2493 0.5000
0.5522 0.7507 0.5000
0.7507 0.5522 0.5000
```

=====

No. 6
# Na5Tl5Bi2
Theoretical powder X-ray diffraction pattern, λ = 1.5418 Å (Cu Kα). Input: a DFT-relaxed cell (GGA-PBE, Alexandria).
Lines closer than 0.1° are merged.

Top 8 peaks for 2θ = 15–90°, by angle:
2θ (°)	Rel. int.
19.51	32
19.96	53
31.08	100
32.22	91
35.94	34
36.10	34
38.07	30
53.36	33

Cell and atoms:
```
Na5Tl5Bi2
1.0
7.5071 -2.3638 0.0000
7.5071 2.3638 0.0000
-5.5500 0.0000 9.9524
Na Tl Bi
5 5 2
direct
0.0000 0.0000 0.0000
0.0819 0.0819 0.7544
0.1641 0.1641 0.4965
0.8359 0.8359 0.5035
0.9181 0.9181 0.2456
0.2454 0.2454 0.2511
0.3371 0.3371 0.9952
0.5000 0.5000 0.5000
0.6629 0.6629 0.0048
0.7546 0.7546 0.7489
0.4110 0.4110 0.7451
0.5890 0.5890 0.2549
```